Li4Mn3Co2Ni3O16: calculated X-ray diffraction stick pattern (Cu Kα (λ = 1.5418 Å)), based on a PBE+U-relaxed structure.
Lines closer than 0.1° are merged.

Largest 10 diffraction maxima, sorted by position, 2θ from 10° to 90°:
| 2θ/deg | d_spacing | I_rel |
| --- | --- | --- |
| 19.13 | 4.639 | 1000 |
| 19.60 | 4.529 | 375 |
| 20.05 | 4.430 | 675 |
| 20.35 | 4.363 | 951 |
| 35.83 | 2.506 | 336 |
| 37.14 | 2.421 | 513 |
| 37.54 | 2.396 | 329 |
| 46.31 | 1.960 | 396 |
| 47.28 | 1.923 | 514 |
| 63.95 | 1.456 | 486 |

Structural model:
abc: 10.153 5.727 9.286
angles: 90.00 92.33 90.00
Space group Cm (No. 8)
Asymmetric unit:
Li 0.000 0.000 0.000
Li 0.013 0.000 0.506
Li 0.169 0.500 0.097
Li 0.340 0.000 0.599
Mn 0.330 0.500 0.781
Mn 0.418 0.246 0.283
Co 0.166 0.500 0.514
Co 0.332 0.000 0.010
Ni 0.088 0.254 0.785
Ni 0.174 0.000 0.284
O 0.028 0.500 0.652
O 0.085 0.257 0.401
O 0.164 0.000 0.905
O 0.173 0.500 0.886
O 0.247 0.283 0.647
O 0.269 0.224 0.148
O 0.342 0.500 0.395
O 0.346 0.000 0.391
O 0.410 0.246 0.898
O 0.482 0.000 0.157
O 0.498 0.500 0.190
O 0.498 0.500 0.696